(1)
# Li4Ag4Sb3
Simulated powder XRD pattern, a wavelength of 1.5418 Å. Input: a GGA-PBE-relaxed structure.

abc: 3.2772 4.5714 14.8173
angles: 81.25 83.93 89.82
Space group P-1 (No. 2)
Symmetry-distinct sites (fractional):
1 Li 0.0595 0.0495 0.3990 (multiplicity 2)
2 Li 0.1803 0.6784 0.1428 (multiplicity 2)
3 Ag 0.2376 0.2373 0.0263 (multiplicity 2)
4 Ag 0.4012 0.4059 0.6893 (multiplicity 2)
5 Sb 0.3456 0.8517 0.7991 (multiplicity 2)
6 Sb 0.5000 0.5000 0.5000 (multiplicity 1)

The 8 most intense peaks (2θ = 10–90°), in order of rising 2θ:
(hkl)  d [Å]  2θ/deg  I/Imax
0 1 2  4.136  21.49  97.6
0 0 4  3.640  24.45  42.0
1 0 1  3.256  27.39  80.1
1 -1 2  2.499  35.94  47.3
-1 1 3  2.332  38.60  65.0
0 1 -5  2.294  39.28  40.8
0 2 1  2.287  39.40  100.0
2 -2 0  1.330  70.87  27.5

---

(2)
# LiAgSb2
Simulated powder XRD pattern, a wavelength of 1.5418 Å. Input: a GGA-PBE-relaxed structure.

abc: 3.2357 4.4916 6.5092
angles: 90.00 94.00 90.00
Space group P2/m (No. 10)
Symmetry-distinct sites (fractional):
1 Li 0.0000 0.0000 0.0000 (multiplicity 1)
2 Ag 0.5000 0.0000 0.5000 (multiplicity 1)
3 Sb 0.4730 0.5000 0.7692 (multiplicity 2)

The 8 most intense peaks (2θ = 10–90°), in order of rising 2θ:
(hkl)  d [Å]  2θ/deg  I/Imax
0 1 0  4.492  19.77  24.3
0 1 1  3.694  24.09  36.9
1 0 0  3.228  27.64  83.6
0 1 2  2.631  34.07  100.0
0 2 0  2.246  40.15  32.9
1 1 -2  2.098  43.11  44.8
1 1 2  1.985  45.70  42.3
1 2 0  1.844  49.43  36.7

---

(3)
# Li3Ag2Sb2
Simulated powder XRD pattern, a wavelength of 1.5418 Å. Input: a GGA-PBE-relaxed structure.

abc: 4.3034 4.9298 7.0598
angles: 84.45 89.73 64.24
Space group P-1 (No. 2)
Symmetry-distinct sites (fractional):
1 Li 0.0000 0.0000 0.0000 (multiplicity 1)
2 Li 0.1402 0.7203 0.4333 (multiplicity 2)
3 Ag 0.2882 0.4234 0.8585 (multiplicity 2)
4 Sb 0.4153 0.1651 0.2745 (multiplicity 2)

The 8 most intense peaks (2θ = 10–90°), in order of rising 2θ:
(hkl)  d [Å]  2θ/deg  I/Imax
0 1 1  3.928  22.64  54.7
1 1 0  3.868  22.99  100.0
0 0 2  3.510  25.37  43.4
1 0 2  2.549  35.21  59.5
1 1 -2  2.535  35.40  59.0
1 2 1  2.360  38.13  96.7
0 1 3  2.164  41.74  37.6
0 2 -1  2.046  44.27  37.6

---

(4)
# Li3Ag7Sb
Simulated powder XRD pattern, a wavelength of 1.5418 Å. Input: a GGA-PBE-relaxed structure.

abc: 8.6205 9.8451 5.3827
angles: 90.00 112.64 90.00
Space group C2/m (No. 12)
Symmetry-distinct sites (fractional):
1 Li 0.0000 0.0000 0.0000 (multiplicity 2)
2 Li 0.0000 0.2305 0.5000 (multiplicity 4)
3 Ag 0.0000 0.5000 0.5000 (multiplicity 2)
4 Ag 0.1755 0.2348 0.1958 (multiplicity 8)
5 Ag 0.1759 0.0000 0.5428 (multiplicity 4)
6 Sb 0.0000 0.5000 0.0000 (multiplicity 2)

The 8 most intense peaks (2θ = 10–90°), in order of rising 2θ:
(hkl)  d [Å]  2θ/deg  I/Imax
2 0 -1  3.930  22.63  46.0
0 2 1  3.497  25.47  70.4
2 2 0  3.094  28.86  55.7
2 0 -2  2.605  34.43  60.0
3 1 0  2.561  35.04  63.0
0 4 0  2.461  36.51  92.3
2 2 1  2.332  38.62  77.3
0 2 2  2.218  40.69  100.0